Structure and computed XRD peak list of Mg3As2O8 (a PBE-relaxed structure; Cu Kα (weighted mean of Kα1 and Kα2)).

Principal peaks in the range 15 to 90 degrees two-theta, by angle:
(hkl)  d (Å)  Position (°2θ)  I_rel
1 1 1  4.431  20.04  94
2 1 0  4.207  21.12  20
1 2 -1  4.035  22.03  100
1 3 0  3.547  25.11  46
1 0 -2  3.143  28.40  33
0 1 2  3.035  29.43  52
1 3 1  3.006  29.72  31
2 3 0  2.933  30.48  89
0 4 0  2.892  30.92  27
3 1 -1  2.827  31.65  61
3 1 1  2.493  36.03  22
1 0 -4  1.598  57.71  18

Structural model:
Cell: 9.165 11.569 6.386 Å, 90.00 99.75 90.00°
Element x y z (fractional)
1 Mg 0.081 0.112 0.115
2 Mg 0.081 0.388 0.615
3 Mg 0.264 0.084 0.661
4 Mg 0.264 0.416 0.161
5 Mg 0.362 0.702 0.632
6 Mg 0.362 0.798 0.132
7 Mg 0.638 0.202 0.868
8 Mg 0.638 0.298 0.368
9 Mg 0.736 0.584 0.839
10 Mg 0.736 0.916 0.339
11 Mg 0.919 0.612 0.385
12 Mg 0.919 0.888 0.885
13 As 0.088 0.635 0.892
14 As 0.088 0.865 0.392
15 As 0.397 0.080 0.187
16 As 0.397 0.420 0.687
17 As 0.603 0.580 0.313
18 As 0.603 0.920 0.813
19 As 0.912 0.135 0.608
20 As 0.912 0.365 0.108
21 O 0.072 0.565 0.650
22 O 0.072 0.935 0.150
23 O 0.074 0.211 0.605
24 O 0.074 0.289 0.105
25 O 0.129 0.554 0.118
26 O 0.129 0.946 0.618
27 O 0.235 0.726 0.881
28 O 0.235 0.774 0.381
29 O 0.263 0.086 0.965
30 O 0.263 0.414 0.465
31 O 0.285 0.116 0.367
32 O 0.285 0.384 0.867
33 O 0.473 0.684 0.334
34 O 0.473 0.816 0.834
35 O 0.478 0.554 0.735
36 O 0.478 0.946 0.235
37 O 0.522 0.054 0.765
38 O 0.522 0.446 0.265
39 O 0.527 0.184 0.166
40 O 0.527 0.316 0.666
41 O 0.715 0.616 0.133
42 O 0.715 0.884 0.633
43 O 0.737 0.586 0.535
44 O 0.737 0.914 0.035
45 O 0.765 0.226 0.619
46 O 0.765 0.274 0.119
47 O 0.871 0.054 0.382
48 O 0.871 0.446 0.882
49 O 0.926 0.711 0.895
50 O 0.926 0.789 0.395
51 O 0.928 0.065 0.850
52 O 0.928 0.435 0.350